This entry pairs a crystal structure of LiPuF6 with its theoretical X-ray diffraction stick pattern. Radiation: Cu Kα. Structure: a DFT-relaxed cell (GGA-PBE, Alexandria).

Principal peaks in the range 5 to 70 degrees two-theta, sorted by position:
4.859 Å, 18.3 deg, rel. 29.7; 4.519 Å, 19.6 deg, rel. 16.6; 4.097 Å, 21.7 deg, rel. 100.0; 3.309 Å, 26.9 deg, rel. 20.4; 2.633 Å, 34.1 deg, rel. 29.3; 2.298 Å, 39.2 deg, rel. 32.2; 2.201 Å, 41.0 deg, rel. 16.8; 1.853 Å, 49.2 deg, rel. 12.5; 1.778 Å, 51.4 deg, rel. 20.4; 1.682 Å, 54.6 deg, rel. 16.6

Structure:
Lattice parameters (Å, degrees): 5.2176 5.2176 9.7180 90.00 90.00 120.00
Sites, in units of the cell vectors:
Li 0.0000 0.0000 0.0000
Li 0.0000 0.0000 0.5000
Pu 0.3333 0.6667 0.2500
Pu 0.6667 0.3333 0.7500
F 0.0212 0.3346 0.1250
F 0.0212 0.6865 0.3750
F 0.3135 0.3346 0.3750
F 0.3135 0.9788 0.1250
F 0.3346 0.0212 0.6250
F 0.3346 0.3135 0.8750
F 0.6654 0.6865 0.1250
F 0.6654 0.9788 0.3750
F 0.6865 0.0212 0.8750
F 0.6865 0.6654 0.6250
F 0.9788 0.3135 0.6250
F 0.9788 0.6654 0.8750